Computed X-ray diffraction stick pattern
Compound: Pu2GeH3
Radiation: a wavelength of 1.5418 Å
Structure: DFT lattice parameters and positions (GGA-PBE)
Intensities are scaled so that the largest is 100.

The 6 most intense peaks (2θ from 15° to 90°), by angle:
two_theta, d [Å], intensity
25.90, 3.440, 47
29.51, 3.027, 100
29.75, 3.003, 46
32.67, 2.741, 50
34.26, 2.617, 49
34.95, 2.567, 42

Cell and atoms:
```
data_Pu2GeH3
_chemical_formula_sum 'Pu8 Ge4 H12'
_cell_length_a 12.080
_cell_length_b 3.893
_cell_length_c 7.839
_cell_angle_alpha 90.00
_cell_angle_beta 118.62
_cell_angle_gamma 90.00
_space_group_name_H-M_alt 'C 1 2/m 1'
_space_group_IT_number 12
loop_
_space_group_symop_operation_xyz
'x,y,z'
'-x,-y,-z'
'-x,y,-z'
'x,-y,z'
'x+1/2,y+1/2,z'
'-x+1/2,-y+1/2,-z'
'-x+1/2,y+1/2,-z'
'x+1/2,-y+1/2,z'
loop_
_atom_site_label
_atom_site_type_symbol
_atom_site_fract_x
_atom_site_fract_y
_atom_site_fract_z
Pu1 Pu 0.064 0.000 0.298
Pu2 Pu 0.190 0.500 0.712
Ge1 Ge 0.109 0.500 0.017
H1 H 0.024 0.500 0.396
H2 H 0.092 0.000 0.626
H3 H 0.225 0.500 0.423
```

=====

Computed X-ray diffraction stick pattern
Compound: Pu3GeH
Radiation: a wavelength of 1.5418 Å
Structure: DFT lattice parameters and positions (GGA-PBE)
Intensities are scaled so that the largest is 100.

The 6 most intense peaks (2θ from 15° to 90°), by angle:
two_theta, d [Å], intensity
34.00, 2.636, 100
34.39, 2.608, 93
39.24, 2.296, 66
40.58, 2.223, 31
57.72, 1.597, 44
67.56, 1.386, 27

Cell and atoms:
```
data_Pu3GeH
_chemical_formula_sum 'Pu3 Ge1 H1'
_cell_length_a 3.274
_cell_length_b 4.447
_cell_length_c 6.440
_cell_angle_alpha 90.00
_cell_angle_beta 90.00
_cell_angle_gamma 90.00
_space_group_name_H-M_alt 'P m m m'
_space_group_IT_number 47
loop_
_space_group_symop_operation_xyz
'x,y,z'
'-x,-y,-z'
'-x,-y,z'
'x,y,-z'
'x,-y,-z'
'-x,y,z'
'-x,y,-z'
'x,-y,z'
loop_
_atom_site_label
_atom_site_type_symbol
_atom_site_fract_x
_atom_site_fract_y
_atom_site_fract_z
Pu1 Pu 0.000 0.000 0.000
Pu2 Pu 0.500 0.500 0.272
Ge1 Ge 0.000 0.000 0.500
H1 H 0.000 0.500 0.000
```

=====

Computed X-ray diffraction stick pattern
Compound: Pu3GeH2
Radiation: a wavelength of 1.5418 Å
Structure: DFT lattice parameters and positions (GGA-PBE)
Intensities are scaled so that the largest is 100.

The 6 most intense peaks (2θ from 15° to 90°), by angle:
two_theta, d [Å], intensity
22.75, 3.909, 40
31.72, 2.821, 24
34.14, 2.627, 100
35.43, 2.534, 35
42.97, 2.105, 16
62.78, 1.480, 18

Cell and atoms:
```
data_Pu3GeH2
_chemical_formula_sum 'Pu12 Ge4 H8'
_cell_length_a 8.982
_cell_length_b 8.420
_cell_length_c 5.067
_cell_angle_alpha 90.00
_cell_angle_beta 90.00
_cell_angle_gamma 90.00
_space_group_name_H-M_alt 'C m c m'
_space_group_IT_number 63
_space_group_name_Hall '-C 2c 2'
loop_
_atom_site_label
_atom_site_type_symbol
_atom_site_fract_x
_atom_site_fract_y
_atom_site_fract_z
Pu1 Pu 0.000 0.134 0.250
Pu2 Pu 0.189 0.362 0.250
Ge1 Ge 0.000 0.323 0.750
H1 H 0.156 0.000 0.000
```

=====

Computed X-ray diffraction stick pattern
Compound: Pu4GeH6
Radiation: a wavelength of 1.5418 Å
Structure: DFT lattice parameters and positions (GGA-PBE)
Intensities are scaled so that the largest is 100.

The 6 most intense peaks (2θ from 15° to 90°), by angle:
two_theta, d [Å], intensity
28.22, 3.163, 65
30.37, 2.943, 100
35.65, 2.518, 48
38.90, 2.315, 33
47.52, 1.913, 30
58.35, 1.581, 33

Cell and atoms:
```
data_Pu4GeH6
_chemical_formula_sum 'Pu4 Ge1 H6'
_cell_length_a 6.7973
_cell_length_b 6.7973
_cell_length_c 3.7500
_cell_angle_alpha 90.00
_cell_angle_beta 90.00
_cell_angle_gamma 120.00
_space_group_name_H-M_alt 'P -6 m 2'
_space_group_IT_number 187
_space_group_name_Hall 'P -6 2'
loop_
_atom_site_label
_atom_site_type_symbol
_atom_site_fract_x
_atom_site_fract_y
_atom_site_fract_z
Pu1 Pu 0.0000 0.0000 0.0000
Pu2 Pu 0.0288 0.5144 0.5000
Ge1 Ge 0.6667 0.3333 0.0000
H1 H 0.2016 0.4032 0.0000
H2 H 0.2440 0.1220 0.5000
```

=====

Computed X-ray diffraction stick pattern
Compound: RbGeH3
Radiation: a wavelength of 1.5418 Å
Structure: DFT lattice parameters and positions (GGA-PBE)
Intensities are scaled so that the largest is 100.

The 6 most intense peaks (2θ from 15° to 90°), by angle:
two_theta, d [Å], intensity
27.13, 3.287, 100
28.74, 3.107, 86
39.93, 2.258, 36
47.94, 1.898, 20
48.95, 1.861, 38
64.11, 1.453, 17

Cell and atoms:
```
data_RbGeH3
_chemical_formula_sum 'Rb6 Ge6 H18'
_cell_length_a 6.5732
_cell_length_b 6.5732
_cell_length_c 14.8289
_cell_angle_alpha 90.00
_cell_angle_beta 90.00
_cell_angle_gamma 120.00
_space_group_name_H-M_alt 'R 3 c'
_space_group_IT_number 161
_space_group_name_Hall 'R 3 -2"c'
loop_
_atom_site_label
_atom_site_type_symbol
_atom_site_fract_x
_atom_site_fract_y
_atom_site_fract_z
Rb1 Rb 0.0000 0.0000 0.0000
Ge1 Ge 0.0000 0.0000 0.2575
H1 H 0.1719 0.4368 0.3626
```

=====

Computed X-ray diffraction stick pattern
Compound: SrGeHRh
Radiation: a wavelength of 1.5418 Å
Structure: DFT lattice parameters and positions (GGA-PBE)
Intensities are scaled so that the largest is 100.

The 6 most intense peaks (2θ from 15° to 90°), by angle:
two_theta, d [Å], intensity
30.09, 2.969, 100
32.16, 2.784, 45
37.17, 2.419, 67
43.42, 2.084, 57
53.30, 1.719, 44
53.73, 1.706, 38

Cell and atoms:
```
data_SrGeHRh
_chemical_formula_sum 'Sr2 Ge2 H2 Rh2'
_cell_length_a 4.169
_cell_length_b 4.169
_cell_length_c 8.462
_cell_angle_alpha 90.00
_cell_angle_beta 90.00
_cell_angle_gamma 90.00
_space_group_name_H-M_alt 'P 4/n m m'
_space_group_IT_number 129
loop_
_space_group_symop_operation_xyz
'x,y,z'
'-x,-y,-z'
'-y+1/2,x,z'
'y+1/2,-x,-z'
'-x+1/2,-y+1/2,z'
'x+1/2,y+1/2,-z'
'y,-x+1/2,z'
'-y,x+1/2,-z'
'x+1/2,-y,-z'
'-x+1/2,y,z'
'-y,-x,-z'
'y,x,z'
'-x,y+1/2,-z'
'x,-y+1/2,z'
'y+1/2,x+1/2,-z'
'-y+1/2,-x+1/2,z'
loop_
_atom_site_label
_atom_site_type_symbol
_atom_site_fract_x
_atom_site_fract_y
_atom_site_fract_z
Sr1 Sr 0.250 0.250 0.154
Ge1 Ge 0.250 0.250 0.655
H1 H 0.250 0.750 0.000
Rh1 Rh 0.250 0.750 0.500
```

=====

Computed X-ray diffraction stick pattern
Compound: Ge2H2Ru
Radiation: a wavelength of 1.5418 Å
Structure: DFT lattice parameters and positions (GGA-PBE)
Intensities are scaled so that the largest is 100.

The 6 most intense peaks (2θ from 15° to 90°), by angle:
two_theta, d [Å], intensity
25.78, 3.456, 72
38.87, 2.317, 76
44.55, 2.034, 100
47.23, 1.924, 27
56.15, 1.638, 25
74.35, 1.276, 43

Cell and atoms:
```
data_Ge2H2Ru
_chemical_formula_sum 'Ge4 H4 Ru2'
_cell_length_a 4.633
_cell_length_b 4.633
_cell_length_c 5.189
_cell_angle_alpha 90.00
_cell_angle_beta 90.00
_cell_angle_gamma 90.00
_space_group_name_H-M_alt 'I 4/m m m'
_space_group_IT_number 139
_space_group_name_Hall '-I 4 2'
loop_
_atom_site_label
_atom_site_type_symbol
_atom_site_fract_x
_atom_site_fract_y
_atom_site_fract_z
Ge1 Ge 0.000 0.500 0.250
H1 H 0.000 0.000 0.173
Ru1 Ru 0.000 0.000 0.500
```

=====

Computed X-ray diffraction stick pattern
Compound: TbGeHRu2
Radiation: a wavelength of 1.5418 Å
Structure: DFT lattice parameters and positions (GGA-PBE)
Intensities are scaled so that the largest is 100.

The 6 most intense peaks (2θ from 15° to 90°), by angle:
two_theta, d [Å], intensity
33.50, 2.675, 25
35.85, 2.505, 76
36.59, 2.456, 100
37.78, 2.381, 45
38.56, 2.335, 26
39.34, 2.290, 61

Cell and atoms:
```
data_TbGeHRu2
_chemical_formula_sum 'Tb4 Ge4 H4 Ru8'
_cell_length_a 3.328
_cell_length_b 11.414
_cell_length_c 7.677
_cell_angle_alpha 90.00
_cell_angle_beta 90.00
_cell_angle_gamma 90.00
_space_group_name_H-M_alt 'C m c m'
_space_group_IT_number 63
_space_group_name_Hall '-C 2c 2'
loop_
_atom_site_label
_atom_site_type_symbol
_atom_site_fract_x
_atom_site_fract_y
_atom_site_fract_z
Tb1 Tb 0.000 0.033 0.250
Ge1 Ge 0.000 0.243 0.750
H1 H 0.000 0.500 0.000
Ru1 Ru 0.000 0.349 0.045
```